No. 1
The following is a theoretical powder X-ray diffraction pattern of Mg6SiBO8. It was derived from DFT lattice parameters and positions (PBE), using Cu Kα (weighted mean of Kα1 and Kα2).
Neutral-atom scattering factors, no anomalous dispersion.

Principal peaks in the range 2θ = 10–80°, sorted by position:
2θ (°), I_rel
10.2, 2.8
23.3, 5.6
36.4, 11.0
41.6, 53.4
42.6, 100.0
61.1, 57.6
61.8, 28.2
72.6, 3.2
73.9, 5.9
77.3, 25.8

Structure:
Lattice parameters (Å, degrees): 4.247 4.247 8.676 90.00 90.00 90.00
Fractional coordinates of all 16 atoms:
Mg 0.000 0.000 0.000
Mg 0.000 0.500 0.251
Mg 0.000 0.500 0.749
Mg 0.500 0.000 0.251
Mg 0.500 0.000 0.749
Mg 0.500 0.500 0.000
Si 0.000 0.000 0.500
B 0.500 0.500 0.500
O 0.000 0.000 0.253
O 0.000 0.000 0.747
O 0.000 0.500 0.000
O 0.000 0.500 0.500
O 0.500 0.000 0.000
O 0.500 0.000 0.500
O 0.500 0.500 0.240
O 0.500 0.500 0.760

=====

No. 2
The following is a theoretical powder X-ray diffraction pattern of Ba3P2S8. It was derived from DFT lattice parameters and positions (PBE), using Cu Kα (weighted mean of Kα1 and Kα2).
Neutral-atom scattering factors, no anomalous dispersion.

Principal peaks in the range 2θ = 10–80°, sorted by position:
2θ (°), I_rel
18.1, 44.4
18.3, 79.6
25.4, 76.2
26.2, 100.0
26.6, 47.3
30.5, 67.2
31.9, 40.8
32.4, 86.7
36.6, 40.2
37.0, 79.0

Structure:
Lattice parameters (Å, degrees): 17.572 6.694 11.844 90.00 90.03 90.00
Fractional coordinates of all 52 atoms:
Ba 0.072 0.004 0.340
Ba 0.072 0.496 0.840
Ba 0.251 0.041 0.023
Ba 0.251 0.459 0.523
Ba 0.428 0.512 0.170
Ba 0.428 0.988 0.670
Ba 0.572 0.012 0.330
Ba 0.572 0.488 0.830
Ba 0.749 0.541 0.477
Ba 0.749 0.959 0.977
Ba 0.928 0.504 0.160
Ba 0.928 0.996 0.660
P 0.140 0.529 0.161
P 0.140 0.971 0.661
P 0.360 0.016 0.329
P 0.360 0.484 0.829
P 0.640 0.516 0.171
P 0.640 0.984 0.671
P 0.860 0.029 0.339
P 0.860 0.471 0.839
S 0.082 0.734 0.594
S 0.082 0.766 0.094
S 0.093 0.228 0.595
S 0.093 0.272 0.095
S 0.117 0.526 0.331
S 0.117 0.974 0.831
S 0.249 0.095 0.303
S 0.249 0.405 0.803
S 0.251 0.553 0.110
S 0.251 0.947 0.610
S 0.384 0.749 0.406
S 0.384 0.751 0.906
S 0.412 0.236 0.422
S 0.412 0.264 0.922
S 0.414 0.009 0.174
S 0.414 0.491 0.674
S 0.586 0.509 0.326
S 0.586 0.991 0.826
S 0.588 0.736 0.078
S 0.588 0.764 0.578
S 0.616 0.249 0.094
S 0.616 0.251 0.594
S 0.749 0.053 0.390
S 0.749 0.447 0.890
S 0.751 0.595 0.197
S 0.751 0.905 0.697
S 0.883 0.026 0.169
S 0.883 0.474 0.669
S 0.907 0.728 0.905
S 0.907 0.772 0.405
S 0.918 0.234 0.906
S 0.918 0.266 0.406

=====

No. 3
The following is a theoretical powder X-ray diffraction pattern of AlFe2N3. It was derived from DFT lattice parameters and positions (PBE), using Cu Kα (weighted mean of Kα1 and Kα2).
Neutral-atom scattering factors, no anomalous dispersion.

Principal peaks in the range 2θ = 10–80°, sorted by position:
2θ (°), I_rel
19.1, 24.8
33.6, 55.5
34.3, 29.1
36.2, 61.2
38.3, 100.0
38.9, 46.3
50.2, 20.8
61.0, 33.0
66.5, 34.0
73.0, 25.6

Structure:
Lattice parameters (Å, degrees): 5.334 5.334 4.965 90.00 90.00 58.67
Fractional coordinates of all 12 atoms:
Al 0.168 0.832 0.500
Al 0.832 0.168 0.000
Fe 0.155 0.493 0.989
Fe 0.493 0.155 0.489
Fe 0.507 0.845 0.989
Fe 0.845 0.507 0.489
N 0.173 0.827 0.879
N 0.175 0.498 0.358
N 0.498 0.175 0.858
N 0.502 0.825 0.358
N 0.825 0.502 0.858
N 0.827 0.173 0.379

=====

No. 4
The following is a theoretical powder X-ray diffraction pattern of Si2Mo3. It was derived from DFT lattice parameters and positions (PBE), using Cu Kα (weighted mean of Kα1 and Kα2).
Neutral-atom scattering factors, no anomalous dispersion.

Principal peaks in the range 2θ = 10–80°, sorted by position:
2θ (°), I_rel
30.1, 36.3
33.2, 40.1
38.4, 15.4
38.5, 51.4
40.9, 100.0
43.1, 62.9
55.8, 16.4
62.7, 19.0
66.1, 20.3
73.0, 25.7

Structure:
Lattice parameters (Å, degrees): 6.633 6.633 3.297 90.00 90.00 90.00
Fractional coordinates of all 10 atoms:
Si 0.134 0.366 0.000
Si 0.366 0.866 0.000
Si 0.634 0.134 0.000
Si 0.866 0.634 0.000
Mo 0.000 0.000 0.000
Mo 0.161 0.661 0.500
Mo 0.339 0.161 0.500
Mo 0.500 0.500 0.000
Mo 0.661 0.839 0.500
Mo 0.839 0.339 0.500

=====

No. 5
The following is a theoretical powder X-ray diffraction pattern of SrLa9MgGa9O29. It was derived from DFT lattice parameters and positions (PBE), using Cu Kα (weighted mean of Kα1 and Kα2).
Neutral-atom scattering factors, no anomalous dispersion.

Principal peaks in the range 2θ = 10–80°, sorted by position:
2θ (°), I_rel
22.5, 12.7
31.9, 23.2
32.1, 100.0
32.2, 25.0
45.9, 15.0
46.0, 28.2
56.9, 16.4
57.0, 10.6
57.3, 19.9
67.0, 11.6

Structure:
Lattice parameters (Å, degrees): 5.557 5.584 23.048 96.58 90.17 119.83
Fractional coordinates of all 49 atoms:
Sr 0.000 0.000 0.000
La 0.096 0.200 0.306
La 0.191 0.386 0.603
La 0.325 0.614 0.898
La 0.382 0.784 0.205
La 0.498 0.002 0.507
La 0.597 0.194 0.806
La 0.700 0.397 0.109
La 0.790 0.586 0.403
La 0.899 0.803 0.707
Mg 0.608 0.272 0.951
Ga 0.047 0.098 0.153
Ga 0.144 0.294 0.454
Ga 0.242 0.493 0.752
Ga 0.384 0.716 0.059
Ga 0.444 0.894 0.355
Ga 0.545 0.095 0.655
Ga 0.745 0.495 0.255
Ga 0.844 0.694 0.555
Ga 0.948 0.896 0.856
O 0.066 0.639 0.314
O 0.114 0.741 0.792
O 0.130 0.259 0.818
O 0.143 0.347 0.088
O 0.150 0.833 0.108
O 0.223 0.950 0.595
O 0.273 0.018 0.904
O 0.322 0.150 0.395
O 0.329 0.661 0.420
O 0.364 0.726 0.687
O 0.370 0.241 0.713
O 0.422 0.342 0.194
O 0.467 0.438 0.513
O 0.489 0.542 0.995
O 0.520 0.058 0.023
O 0.559 0.129 0.288
O 0.563 0.639 0.312
O 0.613 0.746 0.798
O 0.665 0.842 0.120
O 0.721 0.950 0.594
O 0.729 0.462 0.621
O 0.775 0.541 0.891
O 0.790 0.063 0.912
O 0.823 0.149 0.394
O 0.865 0.233 0.712
O 0.925 0.350 0.197
O 0.937 0.859 0.221
O 0.961 0.928 0.487
O 0.966 0.439 0.513

=====

No. 6
The following is a theoretical powder X-ray diffraction pattern of P2Pb3O8. It was derived from DFT lattice parameters and positions (PBE), using Cu Kα (weighted mean of Kα1 and Kα2).
Neutral-atom scattering factors, no anomalous dispersion.

Principal peaks in the range 2θ = 10–80°, sorted by position:
2θ (°), I_rel
18.9, 30.0
25.4, 45.1
28.6, 100.0
32.2, 89.5
41.4, 23.2
43.6, 36.6
48.2, 19.1
51.8, 30.0
55.2, 30.5
57.4, 17.4

Structure:
Lattice parameters (Å, degrees): 7.560 7.560 7.560 43.18 43.18 43.18
Fractional coordinates of all 13 atoms:
P 0.097 0.097 0.097
P 0.903 0.903 0.903
Pb 0.287 0.287 0.287
Pb 0.500 0.500 0.500
Pb 0.713 0.713 0.713
O 0.172 0.172 0.172
O 0.224 0.224 0.765
O 0.224 0.765 0.224
O 0.235 0.776 0.776
O 0.765 0.224 0.224
O 0.776 0.235 0.776
O 0.776 0.776 0.235
O 0.828 0.828 0.828